(1)
# CeSe2
Computed X-ray diffraction stick pattern, Cu Kα, 1.54184 Å. Input: a DFT-relaxed cell (GGA-PBE, the Materials Project).
Intensities are scaled so that the largest is 100.

a b c (Å): 7.643 7.728 7.793
angles (deg): 98.64 109.83 90.11
Space group P1 (No. 1)
Symmetry-distinct sites (fractional):
Ce: 0.000 0.000 0.000 (multiplicity 1)
Ce: 0.148 0.094 0.583 (multiplicity 1)
Ce: 0.588 0.858 0.229 (multiplicity 1)
Ce: 0.739 0.509 0.633 (multiplicity 1)
Se: 0.029 0.315 0.843 (multiplicity 1)
Se: 0.251 0.880 0.313 (multiplicity 1)
Se: 0.323 0.932 0.895 (multiplicity 1)
Se: 0.448 0.314 0.631 (multiplicity 1)
Se: 0.548 0.517 0.266 (multiplicity 1)
Se: 0.777 0.703 0.988 (multiplicity 1)
Se: 0.842 0.864 0.603 (multiplicity 1)
Se: 0.844 0.162 0.270 (multiplicity 1)

Peak list (6 most intense, 2θ from 10° to 90°, in order of falling intensity)
d (Å)	I (rel.)	h k l
2.413	100.0	0 0 3
5.085	92.1	1 1 0
2.820	89.8	-2 1 2
5.382	83.1	1 -1 0
7.628	82.3	0 1 0
2.714	80.1	2 2 -1

(2)
# IrOs2Br
Computed X-ray diffraction stick pattern, Cu Kα, 1.54184 Å. Input: a DFT-relaxed cell (GGA-PBE, the Materials Project).
Intensities are scaled so that the largest is 100.

a b c (Å): 6.303 6.303 6.303
angles (deg): 90.00 90.00 90.00
Space group Fm-3m (No. 225)
Symmetry-distinct sites (fractional):
Ir: 0.000 0.000 0.000 (multiplicity 4)
Os: 0.250 0.250 0.250 (multiplicity 8)
Br: 0.000 0.000 0.500 (multiplicity 4)

Peak list (6 most intense, 2θ from 10° to 90°, in order of falling intensity)
d (Å)	I (rel.)	h k l
2.229	100.0	2 2 0
1.287	35.0	4 2 2
1.576	17.1	4 0 0
1.114	11.6	4 4 0
3.639	6.6	1 1 1
1.901	3.6	3 1 1

(3)
# Fe3Sn
Computed X-ray diffraction stick pattern, Cu Kα, 1.54184 Å. Input: a DFT-relaxed cell (GGA-PBE, the Materials Project).
Intensities are scaled so that the largest is 100.

a b c (Å): 5.4866 5.4866 4.3104
angles (deg): 90.00 90.00 120.00
Space group P6_3/mmc (No. 194)
Symmetry-distinct sites (fractional):
Fe: 0.1508 0.3015 0.2500 (multiplicity 6)
Sn: 0.3333 0.6667 0.7500 (multiplicity 2)

Peak list (6 most intense, 2θ from 10° to 90°, in order of falling intensity)
d (Å)	I (rel.)	h k l
2.081	100.0	2 0 1
2.155	25.9	0 0 2
2.376	24.7	2 0 0
3.193	21.6	1 0 1
1.157	17.4	2 2 2
1.229	17.2	2 0 3

(4)
# Sr2PrCu3Pb2O8
Computed X-ray diffraction stick pattern, Cu Kα, 1.54184 Å. Input: a DFT-relaxed cell (GGA-PBE, the Materials Project).
Intensities are scaled so that the largest is 100.

a b c (Å): 3.866 3.903 16.037
angles (deg): 88.98 89.44 89.51
Space group P-1 (No. 2)
Symmetry-distinct sites (fractional):
Sr: 0.002 0.008 0.276 (multiplicity 2)
Pr: 0.000 0.000 0.500 (multiplicity 1)
Cu: 0.000 0.000 0.000 (multiplicity 1)
Cu: 0.500 0.499 0.611 (multiplicity 2)
Pb: 0.495 0.504 0.889 (multiplicity 2)
O: 0.000 0.497 0.598 (multiplicity 2)
O: 0.029 0.097 0.112 (multiplicity 2)
O: 0.498 0.490 0.753 (multiplicity 2)
O: 0.499 0.000 0.401 (multiplicity 2)

Peak list (6 most intense, 2θ from 10° to 90°, in order of falling intensity)
d (Å)	I (rel.)	h k l
2.770	100.0	0 1 -4
2.734	65.9	1 -1 0
2.758	64.8	1 1 0
2.796	50.1	1 0 4
2.821	49.8	0 1 4
1.585	38.7	1 -2 4

(5)
# Li2CrS3
Computed X-ray diffraction stick pattern, Cu Kα, 1.54184 Å. Input: a DFT-relaxed cell (GGA-PBE, the Materials Project).
Intensities are scaled so that the largest is 100.

a b c (Å): 6.114 10.570 12.061
angles (deg): 90.00 99.95 90.00
Space group C2/c (No. 15)
Symmetry-distinct sites (fractional):
Li: 0.000 0.085 0.250 (multiplicity 4)
Li: 0.244 0.080 0.999 (multiplicity 8)
Li: 0.250 0.250 0.500 (multiplicity 4)
Cr: 0.000 0.244 0.750 (multiplicity 4)
Cr: 0.000 0.422 0.250 (multiplicity 4)
S: 0.100 0.411 0.637 (multiplicity 8)
S: 0.142 0.092 0.635 (multiplicity 8)
S: 0.142 0.269 0.138 (multiplicity 8)

Peak list (6 most intense, 2θ from 10° to 90°, in order of falling intensity)
d (Å)	I (rel.)	h k l
2.519	100.0	2 0 2
5.940	50.3	0 0 2
1.764	20.6	3 3 -1
1.798	20.4	1 3 5
5.232	15.0	1 1 0
3.010	13.0	2 0 0

(6)
# SmNi4Sn2
Computed X-ray diffraction stick pattern, Cu Kα, 1.54184 Å. Input: a DFT-relaxed cell (GGA-PBE, the Materials Project).
Intensities are scaled so that the largest is 100.

a b c (Å): 7.671 7.671 7.927
angles (deg): 90.00 90.00 90.00
Space group I-4c2 (No. 120)
Symmetry-distinct sites (fractional):
Sm: 0.000 0.000 0.250 (multiplicity 4)
Ni: 0.140 0.359 0.166 (multiplicity 16)
Sn: 0.158 0.342 0.500 (multiplicity 8)

Peak list (6 most intense, 2θ from 10° to 90°, in order of falling intensity)
d (Å)	I (rel.)	h k l
2.093	100.0	2 1 3
2.426	95.3	3 1 0
2.756	36.9	2 0 2
3.200	31.8	1 1 2
1.254	26.3	5 2 3
3.149	15.3	2 1 1

(7)
# YMg2
Computed X-ray diffraction stick pattern, Cu Kα, 1.54184 Å. Input: a DFT-relaxed cell (GGA-PBE, the Materials Project).
Intensities are scaled so that the largest is 100.

a b c (Å): 12.836 3.309 7.803
angles (deg): 90.00 103.41 90.00
Space group Cm (No. 8)
Symmetry-distinct sites (fractional):
Y: 0.000 0.000 0.000 (multiplicity 2)
Y: 0.178 0.500 0.339 (multiplicity 2)
Mg: 0.122 0.500 0.729 (multiplicity 2)
Mg: 0.281 0.000 0.054 (multiplicity 2)
Mg: 0.339 0.000 0.674 (multiplicity 2)
Mg: 0.449 0.500 0.397 (multiplicity 2)

Peak list (6 most intense, 2θ from 10° to 90°, in order of falling intensity)
d (Å)	I (rel.)	h k l
2.590	100.0	3 1 0
2.521	93.0	1 1 -2
5.486	86.7	2 0 -1
2.743	73.0	4 0 -2
2.887	68.1	1 1 1
2.677	53.6	4 0 1

(8)
# NaMg6Zr
Computed X-ray diffraction stick pattern, Cu Kα, 1.54184 Å. Input: a DFT-relaxed cell (GGA-PBE, the Materials Project).
Intensities are scaled so that the largest is 100.

a b c (Å): 5.169 6.492 11.238
angles (deg): 90.00 90.00 90.00
Space group Amm2 (No. 38)
Symmetry-distinct sites (fractional):
Na: 0.000 0.000 0.000 (multiplicity 2)
Mg: 0.000 0.000 0.503 (multiplicity 2)
Mg: 0.000 0.243 0.250 (multiplicity 4)
Mg: 0.500 0.000 0.672 (multiplicity 2)
Mg: 0.500 0.250 0.418 (multiplicity 4)
Zr: 0.500 0.000 0.179 (multiplicity 2)

Peak list (6 most intense, 2θ from 10° to 90°, in order of falling intensity)
d (Å)	I (rel.)	h k l
2.469	100.0	1 2 2
5.621	33.9	0 0 2
2.810	28.3	0 0 4
3.805	25.2	1 0 2
2.584	25.1	2 0 0
1.374	18.5	2 4 0

(9)
# Ce2MgGe2
Computed X-ray diffraction stick pattern, Cu Kα, 1.54184 Å. Input: a DFT-relaxed cell (GGA-PBE, the Materials Project).
Intensities are scaled so that the largest is 100.

a b c (Å): 7.438 7.438 4.359
angles (deg): 90.00 90.00 90.00
Space group P4/mbm (No. 127)
Symmetry-distinct sites (fractional):
Ce: 0.178 0.322 0.000 (multiplicity 4)
Mg: 0.000 0.000 0.500 (multiplicity 2)
Ge: 0.122 0.622 0.500 (multiplicity 4)

Peak list (6 most intense, 2θ from 10° to 90°, in order of falling intensity)
d (Å)	I (rel.)	h k l
2.644	100.0	2 1 1
2.829	27.1	2 0 1
2.352	18.6	3 1 0
5.259	17.0	1 1 0
2.179	16.3	0 0 2
1.667	15.2	4 1 1

(10)
# Pr3SnN
Computed X-ray diffraction stick pattern, Cu Kα, 1.54184 Å. Input: a DFT-relaxed cell (GGA-PBE, the Materials Project).
Intensities are scaled so that the largest is 100.

a b c (Å): 5.061 5.061 5.061
angles (deg): 90.00 90.00 90.00
Space group Pm-3m (No. 221)
Symmetry-distinct sites (fractional):
Pr: 0.000 0.000 0.500 (multiplicity 3)
Sn: 0.500 0.500 0.500 (multiplicity 1)
N: 0.000 0.000 0.000 (multiplicity 1)

Peak list (6 most intense, 2θ from 10° to 90°, in order of falling intensity)
d (Å)	I (rel.)	h k l
2.922	100.0	1 1 1
2.530	56.1	2 0 0
1.526	43.7	3 1 1
1.789	39.7	2 2 0
1.161	18.3	3 3 1
1.132	18.2	4 2 0

- Which formula does entry 7 have?
  YMg2